For Ti3Bi6WO18, the GGA+U geometry in Alexandria gives the computed powder diffractogram in this record (a wavelength of 1.5418 Å).

Main lines, by angle (15 to 90 degrees two-theta):
h k l, d [Å], Rel. int.
1 1 1, 3.820, 16.0
1 1 3, 3.086, 100.0
1 -1 3, 3.076, 32.4
0 2 0, 2.747, 22.0
2 0 1, 2.716, 22.1
0 0 5, 2.559, 17.5
2 -2 1, 1.930, 10.9
-1 3 2, 1.645, 13.5
3 1 4, 1.631, 15.6
1 1 8, 1.561, 11.2

Structural model:
Cell lengths 5.4315, 5.4950, 13.0711 Å; angles 89.83, 78.19, 89.94 degrees
Atoms (fractional coordinates):
Ti1 0.0000 0.0000 0.0000
Ti2 0.1738 0.0051 0.6518
Ti3 0.6728 0.5098 0.6498
Bi1 0.0933 0.4531 0.8133
Bi2 0.2995 0.4347 0.4275
Bi3 0.3530 0.9364 0.2256
Bi4 0.6001 0.9655 0.8128
Bi5 0.7553 0.9290 0.4283
Bi6 0.8994 0.4262 0.2242
W1 0.5041 0.5129 0.9979
O1 0.0032 0.0514 0.8368
O2 0.0062 0.0331 0.1386
O3 0.0703 0.7042 0.3283
O4 0.0865 0.2057 0.3290
O5 0.2422 0.7499 0.9628
O6 0.2988 0.0118 0.5153
O7 0.3036 0.2573 0.9591
O8 0.3505 0.5181 0.1402
O9 0.3711 0.7467 0.6972
O10 0.4288 0.2485 0.6990
O11 0.5695 0.7024 0.3270
O12 0.5865 0.2029 0.3259
O13 0.6543 0.5516 0.8394
O14 0.6821 0.5127 0.5137
O15 0.7013 0.8119 0.0111
O16 0.7791 0.3179 0.0098
O17 0.8666 0.8213 0.6638
O18 0.9628 0.3223 0.6641